The following is a calculated powder diffractogram of Dy4Ho3Sc2. It was derived from the GGA-PBE geometry in Alexandria, using Cu Kα (weighted mean of Kα1 and Kα2).
Kinematic intensities with the Lorentz-polarization factor, no thermal factor.

Largest 10 diffraction maxima, in order of rising 2θ, 10° ≤ 2θ ≤ 90°:
2θ = 16.8°, d = 5.291 Å, I = 15
2θ = 30.9°, d = 2.894 Å, I = 19
2θ = 31.8°, d = 2.814 Å, I = 100
2θ = 32.0°, d = 2.800 Å, I = 34
2θ = 32.2°, d = 2.781 Å, I = 45
2θ = 32.6°, d = 2.748 Å, I = 36
2θ = 33.4°, d = 2.679 Å, I = 43
2θ = 33.6°, d = 2.670 Å, I = 20
2θ = 34.3°, d = 2.616 Å, I = 16
2θ = 38.9°, d = 2.316 Å, I = 14

Structural model:
```
Dy4Ho3Sc2
1.0
8.3547 -4.8894 0.0000
8.3547 4.8894 0.0000
-0.3614 0.0000 6.6434
Dy Ho Sc
8 6 4
Direct
0.1645 0.8019 0.9856 Dy
0.1893 0.4350 0.0903 Dy
0.1981 0.8355 0.5144 Dy
0.4350 0.1893 0.5903 Dy
0.5650 0.8107 0.4097 Dy
0.8019 0.1645 0.4856 Dy
0.8107 0.5650 0.9097 Dy
0.8355 0.1981 0.0144 Dy
0.1084 0.1981 0.7408 Ho
0.1981 0.1084 0.2408 Ho
0.4923 0.5077 0.2500 Ho
0.5077 0.4923 0.7500 Ho
0.8019 0.8916 0.7592 Ho
0.8916 0.8019 0.2592 Ho
0.1207 0.5481 0.6076 Sc
0.4519 0.8793 0.8924 Sc
0.5481 0.1207 0.1076 Sc
0.8793 0.4519 0.3924 Sc
```